1.
Computed powder diffraction line list
Compound: PrNdSO2
Radiation: copper Kα
Structure: a DFT-relaxed cell (GGA-PBE, OQMD)

Crystal structure
Cell: 3.9761 3.9761 6.8211 Å, 90.00 90.00 120.00°
Space group P3m1 (No. 156)
Asymmetric unit:
Pr (0.0000, 0.0000, 0.0000)
Nd (0.6667, 0.3333, 0.4419)
S (0.3333, 0.6667, 0.7197)
O (0.0000, 0.0000, 0.3531)
O (0.6667, 0.3333, 0.0929)

Top 8 peaks for 10° ≤ 2θ ≤ 90°, low angle first:
2θ (°)	d [Å]	intensity
25.87	3.443	20
26.13	3.411	22
29.05	3.074	100
37.10	2.423	30
45.63	1.988	32
47.95	1.897	25
53.34	1.718	19
55.01	1.669	17

2.
Computed powder diffraction line list
Compound: Pr3NdSe3O4
Radiation: copper Kα
Structure: a DFT-relaxed cell (GGA-PBE, OQMD)

Crystal structure
Cell: 8.494 4.039 13.008 Å, 90.00 90.00 90.00°
Space group Amm2 (No. 38)
Asymmetric unit:
Pr (0.000, 0.000, 0.000)
Pr (0.263, 0.000, 0.668)
Nd (0.500, 0.000, 0.985)
Se (0.149, 0.000, 0.340)
Se (0.500, 0.000, 0.297)
O (0.000, 0.000, 0.600)
O (0.257, 0.000, 0.072)
O (0.500, 0.000, 0.571)

Top 8 peaks for 10° ≤ 2θ ≤ 90°, low angle first:
2θ (°)	d [Å]	intensity
25.04	3.556	54
30.24	2.955	100
31.33	2.855	54
34.74	2.582	28
44.89	2.019	27
46.72	1.944	23
52.08	1.756	15
53.11	1.725	16

3.
Computed powder diffraction line list
Compound: Pr3NdSe3O4
Radiation: copper Kα
Structure: a DFT-relaxed cell (GGA-PBE, OQMD)

Crystal structure
Cell: 8.485 4.038 13.017 Å, 90.00 90.00 90.00°
Space group Amm2 (No. 38)
Asymmetric unit:
Pr (0.000, 0.000, 0.000)
Pr (0.237, 0.000, 0.685)
Nd (0.500, 0.000, 0.018)
Se (0.000, 0.000, 0.313)
Se (0.351, 0.000, 0.358)
O (0.000, 0.000, 0.589)
O (0.245, 0.000, 0.088)
O (0.500, 0.000, 0.615)

Top 8 peaks for 10° ≤ 2θ ≤ 90°, low angle first:
2θ (°)	d [Å]	intensity
25.06	3.554	54
30.24	2.956	100
31.35	2.854	54
34.74	2.582	28
44.91	2.018	27
46.71	1.945	23
52.10	1.755	15
53.15	1.723	17

4.
Computed powder diffraction line list
Compound: PrNd2SmSe3O4
Radiation: copper Kα
Structure: a DFT-relaxed cell (GGA-PBE, OQMD)

Crystal structure
Cell: 8.437 4.004 12.949 Å, 90.00 90.00 90.00°
Space group Amm2 (No. 38)
Asymmetric unit:
Pr (0.000, 0.000, 0.000)
Nd (0.239, 0.000, 0.685)
Sm (0.500, 0.000, 0.020)
Se (0.000, 0.000, 0.312)
Se (0.351, 0.000, 0.359)
O (0.000, 0.000, 0.590)
O (0.247, 0.000, 0.089)
O (0.500, 0.000, 0.615)

Top 8 peaks for 10° ≤ 2θ ≤ 90°, low angle first:
2θ (°)	d [Å]	intensity
25.20	3.534	55
30.45	2.936	100
31.57	2.834	56
34.94	2.568	30
45.27	2.003	28
47.01	1.933	22
53.50	1.713	17
59.22	1.560	15